Entry 1:
Starting from a PBE-relaxed structure, the X-ray diffraction stick pattern of Tl2Cu2Se was simulated for copper Kα.
Kinematic intensities with the Lorentz-polarization factor, no thermal factor.

Atomic structure:
```
data_Tl2Cu2Se
_cell_length_a 6.826
_cell_length_b 6.826
_cell_length_c 4.574
_cell_angle_alpha 90.00
_cell_angle_beta 90.00
_cell_angle_gamma 90.00
_symmetry_space_group_name_H-M 'P 4/m b m'
_symmetry_Int_Tables_number 127
_symmetry_space_group_name_Hall '-P 4 2ab'
loop_
_atom_site_label
_atom_site_type_symbol
_atom_site_fract_x
_atom_site_fract_y
_atom_site_fract_z
_atom_site_occupancy
Tl1 Tl 0.172 0.328 0.000 1
Cu1 Cu 0.131 0.631 0.500 1
Se1 Se 0.000 0.000 0.500 1
```

Main lines, low angle first (10° ≤ 2θ ≤ 90°):
2θ 29.3, intensity 19
2θ 32.7, intensity 34
2θ 35.4, intensity 100
2θ 39.4, intensity 23
2θ 41.9, intensity 23
2θ 59.4, intensity 17

---

Entry 2:
Starting from a PBE-relaxed structure, the X-ray diffraction stick pattern of Tl2CuSe2 was simulated for copper Kα.
Kinematic intensities with the Lorentz-polarization factor, no thermal factor.

Atomic structure:
```
data_Tl2CuSe2
_cell_length_a 7.444
_cell_length_b 12.510
_cell_length_c 5.910
_cell_angle_alpha 90.00
_cell_angle_beta 90.00
_cell_angle_gamma 90.00
_symmetry_space_group_name_H-M 'I b a m'
_symmetry_Int_Tables_number 72
_symmetry_space_group_name_Hall '-I 2 2c'
loop_
_atom_site_label
_atom_site_type_symbol
_atom_site_fract_x
_atom_site_fract_y
_atom_site_fract_z
_atom_site_occupancy
Tl1 Tl 0.150 0.138 0.000 1
Cu1 Cu 0.000 0.500 0.250 1
Se1 Se 0.195 0.392 0.000 1
```

Main lines, low angle first (10° ≤ 2θ ≤ 90°):
2θ 23.9, intensity 48
2θ 28.5, intensity 44
2θ 29.2, intensity 100
2θ 30.2, intensity 44
2θ 35.7, intensity 40
2θ 42.1, intensity 65

---

Entry 3:
Starting from a PBE-relaxed structure, the X-ray diffraction stick pattern of TlCu2Se3 was simulated for copper Kα.
Kinematic intensities with the Lorentz-polarization factor, no thermal factor.

Atomic structure:
```
data_TlCu2Se3
_cell_length_a 8.205
_cell_length_b 24.571
_cell_length_c 11.612
_cell_angle_alpha 90.00
_cell_angle_beta 90.00
_cell_angle_gamma 90.00
_symmetry_space_group_name_H-M 'F d d 2'
_symmetry_Int_Tables_number 43
_symmetry_space_group_name_Hall 'F 2 -2d'
loop_
_atom_site_label
_atom_site_type_symbol
_atom_site_fract_x
_atom_site_fract_y
_atom_site_fract_z
_atom_site_occupancy
Tl1 Tl 0.010 0.327 0.000 1
Cu1 Cu 0.000 0.000 0.004 1
Cu2 Cu 0.000 0.000 0.506 1
Cu3 Cu 0.004 0.164 0.000 1
Se1 Se 0.000 0.238 0.862 1
Se2 Se 0.022 0.077 0.378 1
Se3 Se 0.027 0.418 0.389 1
```

Main lines, low angle first (10° ≤ 2θ ≤ 90°):
2θ 26.6, intensity 100
2θ 44.2, intensity 67
2θ 52.3, intensity 28
2θ 52.4, intensity 13
2θ 70.8, intensity 12
2θ 81.2, intensity 12